Starting from the GGA-PBE geometry in Alexandria, the XRD peak list of Ac2SbI was computed for Cu Kα (weighted mean of Kα1 and Kα2).

Structure:
a = 8.1865 Å, b = 8.1865 Å, c = 8.1865 Å
α = 90.00°, β = 90.00°, γ = 90.00°
Fractional positions:
Ac 0.2500 0.2500 0.2500
Ac 0.2500 0.2500 0.7500
Ac 0.2500 0.7500 0.2500
Ac 0.2500 0.7500 0.7500
Ac 0.7500 0.2500 0.2500
Ac 0.7500 0.2500 0.7500
Ac 0.7500 0.7500 0.2500
Ac 0.7500 0.7500 0.7500
Sb 0.0000 0.0000 0.0000
Sb 0.0000 0.5000 0.5000
Sb 0.5000 0.0000 0.5000
Sb 0.5000 0.5000 0.0000
I 0.0000 0.0000 0.5000
I 0.0000 0.5000 0.0000
I 0.5000 0.0000 0.0000
I 0.5000 0.5000 0.5000

Largest 10 diffraction maxima, in order of rising 2θ, 2θ = 15–90°:
(2 0 0), 21.7 deg, I = 9; (2 2 0), 30.9 deg, I = 100; (2 2 2), 38.1 deg, I = 3; (4 0 0), 44.3 deg, I = 19; (4 2 0), 49.8 deg, I = 5; (4 2 2), 54.9 deg, I = 40; (4 4 0), 64.4 deg, I = 12; (6 2 0), 73.1 deg, I = 17; (4 4 4), 81.4 deg, I = 4; (6 4 2), 89.6 deg, I = 22